LuMgTeAuS2: theoretical XRD peak list (Cu Kα (λ = 1.5418 Å)), based on a PBE-relaxed structure.
Neutral-atom scattering factors, no anomalous dispersion.

Main lines, sorted by position (10 to 90 degrees two-theta):
- 13.59 deg, rel. 100
- 25.11 deg, rel. 34
- 28.64 deg, rel. 42
- 31.67 deg, rel. 83
- 31.84 deg, rel. 85
- 34.75 deg, rel. 51
- 39.18 deg, rel. 38
- 44.69 deg, rel. 36
- 51.21 deg, rel. 26
- 57.43 deg, rel. 31

Atomic structure:
a = 6.8028 Å, b = 6.8028 Å, c = 11.3075 Å
α = 90.00°, β = 90.00°, γ = 146.70°
Sites, in units of the cell vectors:
Lu 0.0000 0.0000 0.0000
Lu 0.0000 0.0000 0.5000
Mg 0.2324 0.7676 0.7500
Mg 0.7676 0.2324 0.2500
Te 0.1079 0.8921 0.2500
Te 0.8921 0.1079 0.7500
Au 0.4219 0.5781 0.2500
Au 0.5781 0.4219 0.7500
S 0.3656 0.6344 0.0501
S 0.3656 0.6344 0.4499
S 0.6344 0.3656 0.5501
S 0.6344 0.3656 0.9499

---

LuMgTe2AuS: theoretical XRD peak list (Cu Kα (λ = 1.5418 Å)), based on a PBE-relaxed structure.
Neutral-atom scattering factors, no anomalous dispersion.

Main lines, sorted by position (10 to 90 degrees two-theta):
- 12.46 deg, rel. 64
- 28.62 deg, rel. 33
- 28.81 deg, rel. 16
- 33.83 deg, rel. 100
- 35.14 deg, rel. 16
- 37.42 deg, rel. 17
- 38.00 deg, rel. 17
- 42.57 deg, rel. 25
- 44.20 deg, rel. 20
- 47.20 deg, rel. 15

Atomic structure:
a = 7.3929 Å, b = 7.3929 Å, c = 10.2165 Å
α = 90.00°, β = 90.00°, γ = 147.82°
Sites, in units of the cell vectors:
Lu 0.0000 0.0000 0.0000
Lu 0.0000 0.0000 0.5000
Mg 0.2860 0.7140 0.7500
Mg 0.7140 0.2860 0.2500
Te 0.3449 0.6551 0.0600
Te 0.3449 0.6551 0.4400
Te 0.6551 0.3449 0.5600
Te 0.6551 0.3449 0.9400
Au 0.4808 0.5192 0.2500
Au 0.5192 0.4808 0.7500
S 0.0944 0.9056 0.2500
S 0.9056 0.0944 0.7500

---

LuMgTe2AuSe: theoretical XRD peak list (Cu Kα (λ = 1.5418 Å)), based on a PBE-relaxed structure.
Neutral-atom scattering factors, no anomalous dispersion.

Main lines, sorted by position (10 to 90 degrees two-theta):
- 12.45 deg, rel. 59
- 28.63 deg, rel. 21
- 30.35 deg, rel. 19
- 33.83 deg, rel. 100
- 34.14 deg, rel. 18
- 36.47 deg, rel. 17
- 42.56 deg, rel. 26
- 45.02 deg, rel. 22
- 46.93 deg, rel. 18
- 57.74 deg, rel. 20

Atomic structure:
a = 7.3877 Å, b = 7.3877 Å, c = 10.5065 Å
α = 90.00°, β = 90.00°, γ = 148.37°
Sites, in units of the cell vectors:
Lu 0.0000 0.0000 0.0000
Lu 0.0000 0.0000 0.5000
Mg 0.2531 0.7469 0.7500
Mg 0.7469 0.2531 0.2500
Te 0.3455 0.6545 0.0627
Te 0.3455 0.6545 0.4373
Te 0.6545 0.3455 0.5627
Te 0.6545 0.3455 0.9373
Au 0.4786 0.5214 0.2500
Au 0.5214 0.4786 0.7500
Se 0.1046 0.8954 0.2500
Se 0.8954 0.1046 0.7500

---

Lu4SiAuN2: theoretical XRD peak list (Cu Kα (λ = 1.5418 Å)), based on a PBE-relaxed structure.
Neutral-atom scattering factors, no anomalous dispersion.

Main lines, sorted by position (10 to 90 degrees two-theta):
- 30.34 deg, rel. 26
- 31.01 deg, rel. 6
- 35.98 deg, rel. 100
- 38.30 deg, rel. 16
- 39.88 deg, rel. 5
- 49.62 deg, rel. 15
- 53.90 deg, rel. 23
- 66.52 deg, rel. 17
- 67.75 deg, rel. 12
- 68.04 deg, rel. 18

Atomic structure:
a = 3.4020 Å, b = 3.4020 Å, c = 14.0991 Å
α = 90.00°, β = 90.00°, γ = 120.00°
Sites, in units of the cell vectors:
Lu 0.0000 0.0000 0.1546
Lu 0.0000 0.0000 0.8454
Lu 0.6667 0.3333 0.3425
Lu 0.6667 0.3333 0.6575
Si 0.6667 0.3333 0.0000
Au 0.0000 0.0000 0.5000
N 0.3333 0.6667 0.2442
N 0.3333 0.6667 0.7558

---

Lu2W4Au3N3: theoretical XRD peak list (Cu Kα (λ = 1.5418 Å)), based on a PBE-relaxed structure.
Neutral-atom scattering factors, no anomalous dispersion.

Main lines, sorted by position (10 to 90 degrees two-theta):
- 31.62 deg, rel. 24
- 31.89 deg, rel. 40
- 36.84 deg, rel. 25
- 37.84 deg, rel. 90
- 38.00 deg, rel. 99
- 38.15 deg, rel. 100
- 41.19 deg, rel. 57
- 56.48 deg, rel. 28
- 56.98 deg, rel. 16
- 72.89 deg, rel. 16

Atomic structure:
a = 5.6135 Å, b = 5.6135 Å, c = 13.5241 Å
α = 101.69°, β = 101.69°, γ = 60.55°
Sites, in units of the cell vectors:
Lu 0.0377 0.8775 0.6151
Lu 0.1225 0.9623 0.8849
Lu 0.8775 0.0377 0.1151
Lu 0.9623 0.1225 0.3849
W 0.1944 0.3661 0.0715
W 0.3189 0.4624 0.4287
W 0.3661 0.1944 0.5715
W 0.4624 0.3189 0.9287
W 0.5376 0.6811 0.0713
W 0.6339 0.8056 0.4285
W 0.6811 0.5376 0.5713
W 0.8056 0.6339 0.9285
Au 0.0800 0.3495 0.7485
Au 0.3495 0.0800 0.2485
Au 0.4914 0.5086 0.2500
Au 0.5086 0.4914 0.7500
Au 0.6505 0.9200 0.7515
Au 0.9200 0.6505 0.2515
N 0.0000 0.5000 0.5000
N 0.1518 0.6976 0.9998
N 0.3024 0.8482 0.5002
N 0.5000 0.0000 0.0000
N 0.6976 0.1518 0.4998
N 0.8482 0.3024 0.0002

---

LuAuSO: theoretical XRD peak list (Cu Kα (λ = 1.5418 Å)), based on a PBE-relaxed structure.
Neutral-atom scattering factors, no anomalous dispersion.

Main lines, sorted by position (10 to 90 degrees two-theta):
- 19.56 deg, rel. 87
- 29.53 deg, rel. 53
- 30.28 deg, rel. 100
- 32.53 deg, rel. 92
- 34.15 deg, rel. 100
- 37.68 deg, rel. 48
- 44.51 deg, rel. 51
- 47.88 deg, rel. 96
- 52.33 deg, rel. 42
- 62.98 deg, rel. 41

Atomic structure:
a = 9.0753 Å, b = 5.4859 Å, c = 5.5056 Å
α = 90.00°, β = 90.00°, γ = 90.00°
Sites, in units of the cell vectors:
Lu 0.1153 0.2500 0.0000
Lu 0.1153 0.7500 0.5000
Lu 0.8847 0.2500 0.5000
Lu 0.8847 0.7500 0.0000
Au 0.5000 0.0000 0.0011
Au 0.5000 0.0000 0.5011
Au 0.5000 0.5000 0.0011
Au 0.5000 0.5000 0.5011
S 0.2793 0.2500 0.5012
S 0.2793 0.7500 0.0012
S 0.7207 0.2500 0.0012
S 0.7207 0.7500 0.5012
O 0.0000 0.0000 0.2501
O 0.0000 0.0000 0.7501
O 0.0000 0.5000 0.2501
O 0.0000 0.5000 0.7501

---

LuTeAuO: theoretical XRD peak list (Cu Kα (λ = 1.5418 Å)), based on a PBE-relaxed structure.
Neutral-atom scattering factors, no anomalous dispersion.

Main lines, sorted by position (10 to 90 degrees two-theta):
- 17.55 deg, rel. 40
- 28.72 deg, rel. 100
- 33.26 deg, rel. 53
- 33.41 deg, rel. 67
- 35.03 deg, rel. 95
- 36.75 deg, rel. 35
- 36.89 deg, rel. 45
- 44.84 deg, rel. 35
- 46.04 deg, rel. 71
- 66.22 deg, rel. 38

Atomic structure:
a = 5.5628 Å, b = 10.1069 Å, c = 5.5896 Å
α = 90.00°, β = 90.00°, γ = 90.00°
Sites, in units of the cell vectors:
Lu 0.0000 0.1014 0.2500
Lu 0.0000 0.8986 0.7500
Lu 0.5000 0.1014 0.7500
Lu 0.5000 0.8986 0.2500
Te 0.0000 0.2801 0.7500
Te 0.0000 0.7199 0.2500
Te 0.5000 0.2801 0.2500
Te 0.5000 0.7199 0.7500
Au 0.2500 0.5000 0.0471
Au 0.2500 0.5000 0.5471
Au 0.7500 0.5000 0.4529
Au 0.7500 0.5000 0.9529
O 0.2500 0.0000 0.0011
O 0.2500 0.0000 0.5011
O 0.7500 0.0000 0.4989
O 0.7500 0.0000 0.9989

---

LuTeAuO: theoretical XRD peak list (Cu Kα (λ = 1.5418 Å)), based on a PBE-relaxed structure.
Neutral-atom scattering factors, no anomalous dispersion.

Main lines, sorted by position (10 to 90 degrees two-theta):
- 17.21 deg, rel. 40
- 28.39 deg, rel. 87
- 31.90 deg, rel. 94
- 33.11 deg, rel. 73
- 34.54 deg, rel. 100
- 36.48 deg, rel. 51
- 43.92 deg, rel. 32
- 46.64 deg, rel. 64
- 55.30 deg, rel. 38
- 58.56 deg, rel. 44

Atomic structure:
a = 20.6155 Å, b = 3.9666 Å, c = 3.9666 Å
α = 89.97°, β = 90.00°, γ = 90.00°
Sites, in units of the cell vectors:
Lu 0.0494 0.2499 0.7501
Lu 0.4506 0.7499 0.2501
Lu 0.5494 0.2501 0.7499
Lu 0.9506 0.7501 0.2499
Te 0.1369 0.7489 0.2517
Te 0.3631 0.2489 0.7517
Te 0.6369 0.7517 0.2489
Te 0.8631 0.2517 0.7489
Au 0.2502 0.0011 0.0062
Au 0.2498 0.5011 0.5062
Au 0.7498 0.0062 0.0011
Au 0.7502 0.5062 0.5011
O 0.0000 0.2501 0.2501
O 0.0000 0.7501 0.7501
O 0.5000 0.2501 0.2501
O 0.5000 0.7501 0.7501

---

LuTeAuO: theoretical XRD peak list (Cu Kα (λ = 1.5418 Å)), based on a PBE-relaxed structure.
Neutral-atom scattering factors, no anomalous dispersion.

Main lines, sorted by position (10 to 90 degrees two-theta):
- 17.54 deg, rel. 34
- 28.71 deg, rel. 86
- 33.33 deg, rel. 100
- 35.02 deg, rel. 83
- 36.81 deg, rel. 67
- 44.81 deg, rel. 30
- 46.03 deg, rel. 59
- 55.16 deg, rel. 29
- 59.12 deg, rel. 36
- 66.19 deg, rel. 32

Atomic structure:
a = 5.5705 Å, b = 5.5834 Å, c = 10.1138 Å
α = 90.00°, β = 90.00°, γ = 90.00°
Sites, in units of the cell vectors:
Lu 0.0000 0.0000 0.0000
Lu 0.0000 0.5000 0.2028
Lu 0.5000 0.0000 0.2028
Lu 0.5000 0.5000 0.0000
Te 0.0000 0.0000 0.3805
Te 0.0000 0.5000 0.8205
Te 0.5000 0.0000 0.8205
Te 0.5000 0.5000 0.3805
Au 0.2217 0.2062 0.6039
Au 0.2783 0.7062 0.6039
Au 0.7217 0.2938 0.6039
Au 0.7783 0.7938 0.6039
O 0.2493 0.2490 0.1011
O 0.2507 0.7490 0.1011
O 0.7493 0.2510 0.1011
O 0.7507 0.7510 0.1011

---

Lu6Te2Au: theoretical XRD peak list (Cu Kα (λ = 1.5418 Å)), based on a PBE-relaxed structure.
Neutral-atom scattering factors, no anomalous dispersion.

Main lines, sorted by position (10 to 90 degrees two-theta):
- 30.14 deg, rel. 53
- 31.75 deg, rel. 100
- 32.62 deg, rel. 20
- 32.73 deg, rel. 57
- 33.75 deg, rel. 59
- 34.69 deg, rel. 95
- 35.07 deg, rel. 37
- 37.49 deg, rel. 30
- 45.38 deg, rel. 55
- 57.07 deg, rel. 26

Atomic structure:
a = 21.2164 Å, b = 3.9966 Å, c = 11.3287 Å
α = 90.00°, β = 90.00°, γ = 90.00°
Sites, in units of the cell vectors:
Lu 0.0072 0.2500 0.1106
Lu 0.0258 0.7500 0.3782
Lu 0.1087 0.2500 0.8139
Lu 0.1398 0.7500 0.0617
Lu 0.1578 0.2500 0.5301
Lu 0.2326 0.7500 0.7398
Lu 0.2674 0.2500 0.2398
Lu 0.3422 0.7500 0.0301
Lu 0.3602 0.2500 0.5617
Lu 0.3913 0.7500 0.3139
Lu 0.4742 0.2500 0.8782
Lu 0.4928 0.7500 0.6106
Lu 0.5072 0.2500 0.3894
Lu 0.5258 0.7500 0.1218
Lu 0.6087 0.2500 0.6861
Lu 0.6398 0.7500 0.4383
Lu 0.6578 0.2500 0.9699
Lu 0.7326 0.7500 0.7602
Lu 0.7674 0.2500 0.2602
Lu 0.8422 0.7500 0.4699
Lu 0.8602 0.2500 0.9383
Lu 0.8913 0.7500 0.1861
Lu 0.9742 0.2500 0.6218
Lu 0.9928 0.7500 0.8894
Te 0.1261 0.2500 0.2684
Te 0.2368 0.2500 0.9563
Te 0.2632 0.7500 0.4563
Te 0.3739 0.7500 0.7684
Te 0.6261 0.2500 0.2316
Te 0.7368 0.2500 0.5437
Te 0.7632 0.7500 0.0437
Te 0.8739 0.7500 0.7316
Au 0.0756 0.7500 0.6319
Au 0.4244 0.2500 0.1319
Au 0.5756 0.7500 0.8681
Au 0.9244 0.2500 0.3681

---

MgAu2: theoretical XRD peak list (Cu Kα (λ = 1.5418 Å)), based on a PBE-relaxed structure.
Neutral-atom scattering factors, no anomalous dispersion.

Main lines, sorted by position (10 to 90 degrees two-theta):
- 24.84 deg, rel. 1
- 28.76 deg, rel. 99
- 41.13 deg, rel. 100
- 50.96 deg, rel. 28
- 59.57 deg, rel. 17
- 67.47 deg, rel. 37
- 74.95 deg, rel. 35
- 89.26 deg, rel. 12

Atomic structure:
a = 6.2077 Å, b = 6.2077 Å, c = 6.2077 Å
α = 90.00°, β = 90.00°, γ = 90.00°
Sites, in units of the cell vectors:
Mg 0.0000 0.0000 0.0000
Mg 0.0000 0.5000 0.5000
Mg 0.5000 0.0000 0.5000
Mg 0.5000 0.5000 0.0000
Au 0.2500 0.2500 0.2500
Au 0.2500 0.2500 0.7500
Au 0.2500 0.7500 0.2500
Au 0.2500 0.7500 0.7500
Au 0.7500 0.2500 0.2500
Au 0.7500 0.2500 0.7500
Au 0.7500 0.7500 0.2500
Au 0.7500 0.7500 0.7500

---

Na2Mg2Zn2PtAu: theoretical XRD peak list (Cu Kα (λ = 1.5418 Å)), based on a PBE-relaxed structure.
Neutral-atom scattering factors, no anomalous dispersion.

Main lines, sorted by position (10 to 90 degrees two-theta):
- 23.51 deg, rel. 100
- 27.28 deg, rel. 17
- 38.82 deg, rel. 90
- 38.96 deg, rel. 45
- 45.77 deg, rel. 18
- 46.01 deg, rel. 35
- 56.28 deg, rel. 15
- 61.63 deg, rel. 15
- 70.20 deg, rel. 15
- 70.48 deg, rel. 30

Atomic structure:
a = 4.6231 Å, b = 4.6231 Å, c = 6.5836 Å
α = 90.00°, β = 90.00°, γ = 90.00°
Sites, in units of the cell vectors:
Na 0.0000 0.0000 0.0000
Na 0.5000 0.5000 0.5000
Mg 0.0000 0.5000 0.7415
Mg 0.5000 0.0000 0.2585
Zn 0.0000 0.5000 0.2608
Zn 0.5000 0.0000 0.7392
Pt 0.0000 0.0000 0.5000
Au 0.5000 0.5000 0.0000